(1)
The following is a simulated powder diffraction line list of Li2BF5. It was derived from DFT lattice parameters and positions (GGA-PBE), using CuKα.
Peak positions follow from Bragg's law for the DFT cell and can differ from measured ones.

Most intense lines, 15 to 90 degrees two-theta, low angle first:
two_theta, Rel. int., h k l
15.19, 39, 1 1 0
18.55, 43, 0 1 1
18.89, 20, 1 0 1
20.96, 34, 0 2 0
21.63, 100, 1 1 1
22.13, 28, 2 0 0
30.66, 31, 2 2 0
30.88, 18, 0 0 2
38.97, 73, 2 3 0
39.31, 18, 1 2 2
39.82, 83, 2 1 2
53.58, 25, 0 4 2

Cell and atoms:
```
data_Li2BF5
_symmetry_space_group_name_H-M 'P n n m'
_symmetry_Int_Tables_number 58
_symmetry_space_group_name_Hall '-P 2 2n'
_cell_length_a 8.0336
_cell_length_b 8.4778
_cell_length_c 5.7918
_cell_angle_alpha 90.00
_cell_angle_beta 90.00
_cell_angle_gamma 90.00
loop_
_atom_site_label
_atom_site_fract_x
_atom_site_fract_y
_atom_site_fract_z
Li1 0.0000 0.0000 0.2193
Li2 0.1529 0.3541 0.5000
B1 0.2226 0.7476 0.5000
F1 0.0958 0.6298 0.5000
F2 0.1376 0.9163 0.0000
F3 0.1394 0.8977 0.5000
F4 0.1766 0.2329 0.1989
```

---

(2)
The following is a simulated powder diffraction line list of Sr3GeBr3. It was derived from DFT lattice parameters and positions (GGA-PBE), using CuKα.
Peak positions follow from Bragg's law for the DFT cell and can differ from measured ones.

Most intense lines, 15 to 90 degrees two-theta, low angle first:
two_theta, Rel. int., h k l
17.03, 9, 2 1 1
22.04, 3, 3 1 0
26.14, 6, 3 2 1
27.98, 100, 4 0 0
29.72, 2, 4 1 1
35.90, 3, 5 1 0
39.99, 75, 4 4 0
49.51, 27, 4 4 4
57.83, 12, 8 0 0
65.45, 34, 8 4 0
72.63, 25, 8 4 4
86.29, 8, 8 8 0

Cell and atoms:
```
data_Sr3GeBr3
_symmetry_space_group_name_H-M 'I 41 3 2'
_symmetry_Int_Tables_number 214
_symmetry_space_group_name_Hall 'I 4bd 2c 3'
_cell_length_a 12.7546
_cell_length_b 12.7546
_cell_length_c 12.7546
_cell_angle_alpha 90.00
_cell_angle_beta 90.00
_cell_angle_gamma 90.00
loop_
_atom_site_label
_atom_site_fract_x
_atom_site_fract_y
_atom_site_fract_z
Sr1 0.1233 0.3733 0.1250
Ge1 0.1250 0.1250 0.1250
Br1 0.1236 0.3750 0.3736
```

---

(3)
The following is a simulated powder diffraction line list of Li4CdRe. It was derived from DFT lattice parameters and positions (GGA-PBE), using CuKα.
Peak positions follow from Bragg's law for the DFT cell and can differ from measured ones.

Most intense lines, 15 to 90 degrees two-theta, low angle first:
two_theta, Rel. int., h k l
21.81, 100, 1 1 1
25.23, 6, 2 0 0
35.99, 88, 2 2 0
42.47, 64, 3 1 1
51.81, 13, 4 0 0
56.85, 23, 3 3 1
58.47, 3, 4 2 0
64.69, 31, 4 2 2
69.15, 20, 3 3 3
76.31, 11, 4 4 0
80.50, 17, 5 3 1
87.37, 14, 6 2 0

Cell and atoms:
```
data_Li4CdRe
_symmetry_space_group_name_H-M 'F -4 3 m'
_symmetry_Int_Tables_number 216
_symmetry_space_group_name_Hall 'F -4 2 3'
_cell_length_a 7.0589
_cell_length_b 7.0589
_cell_length_c 7.0589
_cell_angle_alpha 90.00
_cell_angle_beta 90.00
_cell_angle_gamma 90.00
loop_
_atom_site_label
_atom_site_fract_x
_atom_site_fract_y
_atom_site_fract_z
Li1 0.1233 0.1233 0.1233
Cd1 0.0000 0.0000 0.5000
Re1 0.2500 0.2500 0.7500
```

---

(4)
The following is a simulated powder diffraction line list of PrHo2In2. It was derived from DFT lattice parameters and positions (GGA-PBE), using CuKα.
Peak positions follow from Bragg's law for the DFT cell and can differ from measured ones.

Most intense lines, 15 to 90 degrees two-theta, low angle first:
two_theta, Rel. int., h k l
31.99, 18, 0 0 5
32.97, 100, 0 2 0
46.56, 13, 0 2 5
48.10, 7, 2 0 -1
57.64, 10, 1 1 -8
58.85, 18, 1 3 2
58.94, 3, 2 0 4
59.52, 8, 2 2 -1
69.18, 8, 2 2 -6
77.65, 4, 1 3 -8
78.14, 3, 0 4 5
79.95, 6, 3 1 -4

Cell and atoms:
```
data_PrHo2In2
_symmetry_space_group_name_H-M 'P 1 21/m 1'
_symmetry_Int_Tables_number 11
_symmetry_space_group_name_Hall '-P 2yb'
_cell_length_a 3.7834
_cell_length_b 5.4402
_cell_length_c 14.1182
_cell_angle_alpha 90.00
_cell_angle_beta 97.71
_cell_angle_gamma 90.00
loop_
_atom_site_label
_atom_site_fract_x
_atom_site_fract_y
_atom_site_fract_z
Pr1 0.1467 0.2500 0.2954
Ho1 0.0487 0.7500 0.0973
Ho2 0.2358 0.7500 0.4725
In1 0.3574 0.2500 0.7137
In2 0.4528 0.7500 0.9069
```